No. 1
Simulated PXRD pattern
Compound: Tl2CN2
Radiation: Cu Kα
Structure: a structure optimized by DFT (PBE)
Lines closer than 0.1° are merged.

Crystal structure
abc: 5.4007 7.0884 10.0589
angles: 98.01 97.73 112.00
Sites, in units of the cell vectors:
Tl: 0.0905 0.4685 0.3154
Tl: 0.3254 0.2020 0.9524
Tl: 0.3764 0.0638 0.3259
Tl: 0.6236 0.9362 0.6741
Tl: 0.6746 0.7980 0.0476
Tl: 0.9095 0.5315 0.6846
C: 0.0000 0.5000 0.0000
C: 0.2715 0.2294 0.6423
C: 0.7285 0.7706 0.3577
N: 0.0979 0.2473 0.7060
N: 0.2130 0.5042 0.0673
N: 0.4539 0.2117 0.5849
N: 0.5461 0.7883 0.4151
N: 0.7870 0.4958 0.9327
N: 0.9021 0.7527 0.2940

Main lines, low angle first (10 to 90 degrees two-theta):
22.96°, intensity 57.3; 26.17°, intensity 40.3; 26.93°, intensity 100.0; 27.42°, intensity 91.2; 28.60°, intensity 58.9; 29.96°, intensity 39.0; 31.02°, intensity 33.9; 33.50°, intensity 50.0

No. 2
Simulated PXRD pattern
Compound: Rb2CuBiBr6
Radiation: Cu Kα
Structure: a structure optimized by DFT (PBE)
Lines closer than 0.1° are merged.

Crystal structure
abc: 7.8413 7.8413 7.8413
angles: 60.00 60.00 60.00
Sites, in units of the cell vectors:
Rb: 0.2500 0.2500 0.2500
Rb: 0.7500 0.7500 0.7500
Cu: 0.0000 0.0000 0.0000
Bi: 0.5000 0.5000 0.5000
Br: 0.2397 0.2397 0.7603
Br: 0.2397 0.7603 0.2397
Br: 0.2397 0.7603 0.7603
Br: 0.7603 0.2397 0.2397
Br: 0.7603 0.2397 0.7603
Br: 0.7603 0.7603 0.2397

Main lines, low angle first (10 to 90 degrees two-theta):
15.98°, intensity 44.3; 22.68°, intensity 45.0; 27.87°, intensity 34.1; 32.29°, intensity 100.0; 46.31°, intensity 71.2; 57.59°, intensity 24.3; 76.90°, intensity 30.7; 85.87°, intensity 23.5

No. 3
Simulated PXRD pattern
Compound: KO2
Radiation: Cu Kα
Structure: a structure optimized by DFT (PBE)
Lines closer than 0.1° are merged.

Crystal structure
abc: 4.6490 5.5720 8.0893
angles: 90.00 100.50 90.00
Sites, in units of the cell vectors:
K: 0.2497 0.2410 0.0736
K: 0.2497 0.2590 0.5736
K: 0.7503 0.7410 0.4264
K: 0.7503 0.7590 0.9264
O: 0.1782 0.7100 0.2416
O: 0.1782 0.7900 0.7416
O: 0.3452 0.7358 0.1223
O: 0.3452 0.7642 0.6223
O: 0.6548 0.2358 0.3777
O: 0.6548 0.2642 0.8777
O: 0.8218 0.2100 0.2584
O: 0.8218 0.2900 0.7584

Main lines, low angle first (10 to 90 degrees two-theta):
26.90°, intensity 52.6; 31.40°, intensity 36.8; 32.13°, intensity 100.0; 32.42°, intensity 58.3; 36.31°, intensity 59.4; 39.43°, intensity 36.2; 42.38°, intensity 27.0; 46.29°, intensity 34.3

No. 4
Simulated PXRD pattern
Compound: CeMg14Zr
Radiation: Cu Kα
Structure: a structure optimized by DFT (PBE)
Lines closer than 0.1° are merged.

Crystal structure
abc: 10.4012 6.5389 6.5389
angles: 56.94 90.00 90.00
Sites, in units of the cell vectors:
Ce: 0.0000 0.0000 0.0000
Mg: 0.0000 0.4985 0.9989
Mg: 0.0000 0.9989 0.4985
Mg: 0.2453 0.6543 0.6543
Mg: 0.2557 0.1576 0.6533
Mg: 0.2557 0.6533 0.1576
Mg: 0.2591 0.1596 0.1596
Mg: 0.5000 0.4959 0.4959
Mg: 0.5000 0.4968 0.9934
Mg: 0.5000 0.9934 0.4968
Mg: 0.5000 0.9947 0.9947
Mg: 0.7409 0.1596 0.1596
Mg: 0.7443 0.1576 0.6533
Mg: 0.7443 0.6533 0.1576
Mg: 0.7547 0.6543 0.6543
Zr: 0.0000 0.4916 0.4916

Main lines, low angle first (10 to 90 degrees two-theta):
15.41°, intensity 26.9; 17.05°, intensity 22.2; 17.63°, intensity 40.3; 32.68°, intensity 34.2; 34.49°, intensity 41.3; 35.69°, intensity 63.0; 37.09°, intensity 100.0; 48.26°, intensity 25.3

No. 5
Simulated PXRD pattern
Compound: K2TlHgBr6
Radiation: Cu Kα
Structure: a structure optimized by DFT (PBE)
Lines closer than 0.1° are merged.

Crystal structure
abc: 8.0915 8.0915 8.0915
angles: 60.00 60.00 60.00
Sites, in units of the cell vectors:
K: 0.2500 0.2500 0.2500
K: 0.7500 0.7500 0.7500
Tl: 0.0000 0.0000 0.0000
Hg: 0.5000 0.5000 0.5000
Br: 0.2539 0.2539 0.7461
Br: 0.2539 0.7461 0.2539
Br: 0.2539 0.7461 0.7461
Br: 0.7461 0.2539 0.2539
Br: 0.7461 0.2539 0.7461
Br: 0.7461 0.7461 0.2539

Main lines, low angle first (10 to 90 degrees two-theta):
15.49°, intensity 100.0; 21.97°, intensity 39.2; 31.27°, intensity 78.1; 35.07°, intensity 56.3; 44.80°, intensity 56.9; 47.68°, intensity 30.3; 55.65°, intensity 19.8; 74.11°, intensity 25.2

No. 6
Simulated PXRD pattern
Compound: DySi3Ir
Radiation: Cu Kα
Structure: a structure optimized by DFT (PBE)
Lines closer than 0.1° are merged.

Crystal structure
abc: 5.7514 5.7514 5.7514
angles: 137.29 137.29 61.99
Sites, in units of the cell vectors:
Dy: 0.0000 0.0000 0.0000
Si: 0.2698 0.7698 0.5000
Si: 0.4203 0.4203 0.0000
Si: 0.7698 0.2698 0.5000
Ir: 0.6574 0.6574 0.0000

Main lines, low angle first (10 to 90 degrees two-theta):
17.99°, intensity 20.1; 23.07°, intensity 50.7; 30.17°, intensity 62.2; 34.69°, intensity 100.0; 35.35°, intensity 41.0; 43.20°, intensity 43.3; 56.55°, intensity 50.0; 64.89°, intensity 17.3

No. 7
Simulated PXRD pattern
Compound: Mg6VCd
Radiation: Cu Kα
Structure: a structure optimized by DFT (PBE)
Lines closer than 0.1° are merged.

Crystal structure
abc: 5.0050 6.2666 6.2666
angles: 59.69 90.00 90.00
Sites, in units of the cell vectors:
Mg: 0.0000 0.0000 0.0000
Mg: 0.0000 0.0113 0.4949
Mg: 0.0000 0.4949 0.0113
Mg: 0.0000 0.4947 0.4947
Mg: 0.5000 0.3364 0.8311
Mg: 0.5000 0.8311 0.3364
V: 0.5000 0.3341 0.3341
Cd: 0.5000 0.8327 0.8327

Main lines, low angle first (10 to 90 degrees two-theta):
16.33°, intensity 52.9; 17.72°, intensity 27.5; 24.19°, intensity 43.0; 33.12°, intensity 31.9; 35.88°, intensity 37.1; 37.66°, intensity 50.3; 37.80°, intensity 100.0; 65.73°, intensity 27.0

No. 8
Simulated PXRD pattern
Compound: Ba4Si23
Radiation: Cu Kα
Structure: a structure optimized by DFT (PBE)
Lines closer than 0.1° are merged.

Crystal structure
abc: 10.4043 10.4043 10.4043
angles: 90.00 90.00 90.00
Sites, in units of the cell vectors:
Ba: 0.0000 0.0000 0.0000
Ba: 0.0000 0.2500 0.5000
Ba: 0.0000 0.7500 0.5000
Ba: 0.2500 0.5000 0.0000
Ba: 0.5000 0.0000 0.2500
Ba: 0.5000 0.0000 0.7500
Ba: 0.5000 0.5000 0.5000
Ba: 0.7500 0.5000 0.0000
Si: 0.0000 0.3064 0.1207
Si: 0.0000 0.3064 0.8793
Si: 0.0000 0.5000 0.2500
Si: 0.0000 0.5000 0.7500
Si: 0.0000 0.6936 0.1207
Si: 0.0000 0.6936 0.8793
Si: 0.1207 0.0000 0.3064
Si: 0.1207 0.0000 0.6936
Si: 0.1851 0.1851 0.1851
Si: 0.1851 0.1851 0.8149
Si: 0.1851 0.8149 0.1851
Si: 0.1851 0.8149 0.8149
Si: 0.1936 0.5000 0.3793
Si: 0.1936 0.5000 0.6207
Si: 0.2500 0.0000 0.5000
Si: 0.3064 0.1207 0.0000
Si: 0.3064 0.8793 0.0000
Si: 0.3149 0.3149 0.3149
Si: 0.3149 0.3149 0.6851
Si: 0.3149 0.6851 0.3149
Si: 0.3149 0.6851 0.6851
Si: 0.3793 0.1936 0.5000
Si: 0.3793 0.8064 0.5000
Si: 0.5000 0.2500 0.0000
Si: 0.5000 0.3793 0.1936
Si: 0.5000 0.3793 0.8064
Si: 0.5000 0.6207 0.1936
Si: 0.5000 0.6207 0.8064
Si: 0.5000 0.7500 0.0000
Si: 0.6207 0.1936 0.5000
Si: 0.6207 0.8064 0.5000
Si: 0.6851 0.3149 0.3149
Si: 0.6851 0.3149 0.6851
Si: 0.6851 0.6851 0.3149
Si: 0.6851 0.6851 0.6851
Si: 0.6936 0.1207 0.0000
Si: 0.6936 0.8793 0.0000
Si: 0.7500 0.0000 0.5000
Si: 0.8064 0.5000 0.3793
Si: 0.8064 0.5000 0.6207
Si: 0.8149 0.1851 0.1851
Si: 0.8149 0.1851 0.8149
Si: 0.8149 0.8149 0.1851
Si: 0.8149 0.8149 0.8149
Si: 0.8793 0.0000 0.3064
Si: 0.8793 0.0000 0.6936

Main lines, low angle first (10 to 90 degrees two-theta):
19.07°, intensity 26.6; 20.91°, intensity 25.8; 29.75°, intensity 25.0; 30.99°, intensity 46.6; 32.19°, intensity 100.0; 34.48°, intensity 24.7; 52.79°, intensity 17.0; 54.36°, intensity 39.8

No. 9
Simulated PXRD pattern
Compound: NaAlO2
Radiation: Cu Kα
Structure: a structure optimized by DFT (PBE)
Lines closer than 0.1° are merged.

Crystal structure
abc: 5.4647 7.0633 5.2858
angles: 90.00 90.00 90.00
Sites, in units of the cell vectors:
Na: 0.0698 0.1227 0.0000
Na: 0.4302 0.6227 0.5000
Na: 0.5698 0.3773 0.0000
Na: 0.9302 0.8773 0.5000
Al: 0.0610 0.6259 0.0153
Al: 0.4390 0.1259 0.5153
Al: 0.5610 0.8741 0.0153
Al: 0.9390 0.3741 0.5153
O: 0.0328 0.5776 0.3444
O: 0.1255 0.1736 0.4442
O: 0.3745 0.6736 0.9442
O: 0.4672 0.0776 0.8444
O: 0.5328 0.9224 0.3444
O: 0.6255 0.3264 0.4442
O: 0.8745 0.8264 0.9442
O: 0.9672 0.4224 0.8444

Main lines, low angle first (10 to 90 degrees two-theta):
30.13°, intensity 67.8; 32.78°, intensity 61.5; 33.92°, intensity 82.3; 34.68°, intensity 100.0; 51.78°, intensity 28.0; 56.87°, intensity 36.5; 61.18°, intensity 44.6; 67.90°, intensity 27.4

No. 10
Simulated PXRD pattern
Compound: HfZrB4
Radiation: Cu Kα
Structure: a structure optimized by DFT (PBE)
Lines closer than 0.1° are merged.

Crystal structure
abc: 3.1630 3.5202 5.4796
angles: 90.00 90.00 90.00
Sites, in units of the cell vectors:
Hf: 0.0000 0.0000 0.0000
Zr: 0.5000 0.0000 0.5000
B: 0.0000 0.5000 0.3317
B: 0.0000 0.5000 0.6683
B: 0.5000 0.5000 0.1653
B: 0.5000 0.5000 0.8347

Main lines, low angle first (10 to 90 degrees two-theta):
25.30°, intensity 42.3; 32.69°, intensity 77.6; 41.78°, intensity 100.0; 58.34°, intensity 20.2; 62.75°, intensity 24.3; 64.60°, intensity 20.0; 74.30°, intensity 17.9; 81.88°, intensity 15.3

No. 11
Simulated PXRD pattern
Compound: Na6Sn2B4SO16
Radiation: Cu Kα
Structure: a structure optimized by DFT (PBE)
Lines closer than 0.1° are merged.

Crystal structure
abc: 10.0372 10.0372 10.0372
angles: 60.00 60.00 60.00
Sites, in units of the cell vectors:
Na: 0.0885 0.0885 0.6615
Na: 0.0885 0.6615 0.0885
Na: 0.0885 0.6615 0.6615
Na: 0.3385 0.3385 0.9115
Na: 0.3385 0.9115 0.3385
Na: 0.3385 0.9115 0.9115
Na: 0.6615 0.0885 0.0885
Na: 0.6615 0.0885 0.6615
Na: 0.6615 0.6615 0.0885
Na: 0.9115 0.3385 0.3385
Na: 0.9115 0.3385 0.9115
Na: 0.9115 0.9115 0.3385
Sn: 0.0000 0.5000 0.5000
Sn: 0.5000 0.0000 0.5000
Sn: 0.5000 0.5000 0.0000
Sn: 0.5000 0.5000 0.5000
B: 0.2841 0.2841 0.2841
B: 0.2841 0.2841 0.6478
B: 0.2841 0.6478 0.2841
B: 0.3522 0.7159 0.7159
B: 0.6478 0.2841 0.2841
B: 0.7159 0.3522 0.7159
B: 0.7159 0.7159 0.3522
B: 0.7159 0.7159 0.7159
S: 0.1250 0.1250 0.1250
S: 0.8750 0.8750 0.8750
O: 0.0642 0.0642 0.0642
O: 0.0642 0.0642 0.3075
O: 0.0642 0.3075 0.0642
O: 0.1343 0.3064 0.6518
O: 0.1343 0.4075 0.3064
O: 0.1343 0.6518 0.4075
O: 0.3064 0.1343 0.4075
O: 0.3064 0.4075 0.6518
O: 0.3064 0.6518 0.1343
O: 0.3075 0.0642 0.0642
O: 0.3482 0.5925 0.8657
O: 0.3482 0.6936 0.5925
O: 0.3482 0.8657 0.6936
O: 0.4075 0.1343 0.6518
O: 0.4075 0.3064 0.1343
O: 0.4075 0.6518 0.3064
O: 0.5925 0.3482 0.6936
O: 0.5925 0.6936 0.8657
O: 0.5925 0.8657 0.3482
O: 0.6518 0.1343 0.3064
O: 0.6518 0.3064 0.4075
O: 0.6518 0.4075 0.1343
O: 0.6925 0.9358 0.9358
O: 0.6936 0.3482 0.8657
O: 0.6936 0.5925 0.3482
O: 0.6936 0.8657 0.5925
O: 0.8657 0.3482 0.5925
O: 0.8657 0.5925 0.6936
O: 0.8657 0.6936 0.3482
O: 0.9358 0.6925 0.9358
O: 0.9358 0.9358 0.6925
O: 0.9358 0.9358 0.9358

Main lines, low angle first (10 to 90 degrees two-theta):
10.80°, intensity 54.8; 20.75°, intensity 100.0; 21.69°, intensity 42.2; 32.78°, intensity 57.4; 35.78°, intensity 57.8; 37.48°, intensity 23.4; 42.23°, intensity 33.9; 56.11°, intensity 24.9